Diffraction record for Dy4Tl2CdPd. The PXRD pattern is calculated, not measured: it uses a structure optimized by DFT (GGA-PBE) and Cu Kα, 1.54184 Å.

Structure:
```
data_Dy4Tl2CdPd
_chemical_formula_sum 'Dy4 Tl2 Cd1 Pd1'
_space_group_name_H-M_alt 'P 1'
_space_group_IT_number 1
_cell_length_a 9.0408
_cell_length_b 9.0408
_cell_length_c 9.0408
_cell_angle_alpha 33.87
_cell_angle_beta 33.87
_cell_angle_gamma 33.87
loop_
_space_group_symop_operation_xyz
'x,y,z'
loop_
_atom_site_label
_atom_site_fract_x
_atom_site_fract_y
_atom_site_fract_z
_atom_site_occupancy
Dy1 0.1170 0.1170 0.1170 1
Dy2 0.3692 0.3692 0.3692 1
Dy3 0.6308 0.6308 0.6308 1
Dy4 0.8830 0.8830 0.8830 1
Tl1 0.2441 0.2441 0.2441 1
Tl2 0.7559 0.7559 0.7559 1
Cd1 0.5000 0.5000 0.5000 1
Pd1 0.0000 0.0000 0.0000 1
```

The 12 most intense peaks (2θ from 15° to 90°), in order of rising 2θ:
34.0 deg, I = 100
34.3 deg, I = 90
47.1 deg, I = 6
49.1 deg, I = 33
60.9 deg, I = 19
61.1 deg, I = 34
61.5 deg, I = 12
65.2 deg, I = 6
71.7 deg, I = 12
72.2 deg, I = 8
81.9 deg, I = 15
82.3 deg, I = 11

---

Diffraction record for Tb3GaGe2. The PXRD pattern is calculated, not measured: it uses a structure optimized by DFT (GGA-PBE) and Cu Kα, 1.54184 Å.

Structure:
```
data_Tb3GaGe2
_chemical_formula_sum 'Tb6 Ga2 Ge4'
_space_group_name_H-M_alt 'P 1'
_space_group_IT_number 1
_cell_length_a 7.3822
_cell_length_b 7.3822
_cell_length_c 7.3822
_cell_angle_alpha 64.15
_cell_angle_beta 64.15
_cell_angle_gamma 64.15
loop_
_space_group_symop_operation_xyz
'x,y,z'
loop_
_atom_site_label
_atom_site_fract_x
_atom_site_fract_y
_atom_site_fract_z
_atom_site_occupancy
Tb1 0.0770 0.7500 0.4230 1
Tb2 0.2500 0.5770 0.9230 1
Tb3 0.4230 0.0770 0.7500 1
Tb4 0.5770 0.9230 0.2500 1
Tb5 0.7500 0.4230 0.0770 1
Tb6 0.9230 0.2500 0.5770 1
Ga1 0.0000 0.0000 0.0000 1
Ga2 0.5000 0.5000 0.5000 1
Ge1 0.1643 0.1643 0.1643 1
Ge2 0.3357 0.3357 0.3357 1
Ge3 0.6643 0.6643 0.6643 1
Ge4 0.8357 0.8357 0.8357 1
```

The 12 most intense peaks (2θ from 15° to 90°), in order of rising 2θ:
27.4 deg, I = 100
38.5 deg, I = 52
39.8 deg, I = 54
49.0 deg, I = 20
52.5 deg, I = 17
56.6 deg, I = 17
64.9 deg, I = 17
67.9 deg, I = 8
71.4 deg, I = 16
72.3 deg, I = 9
78.0 deg, I = 15
81.7 deg, I = 9

---

Diffraction record for ThAg5Cl12. The PXRD pattern is calculated, not measured: it uses a structure optimized by DFT (GGA-PBE) and Cu Kα, 1.54184 Å.

Structure:
```
data_ThAg5Cl12
_chemical_formula_sum 'Th1 Ag5 Cl12'
_space_group_name_H-M_alt 'P 1'
_space_group_IT_number 1
_cell_length_a 6.9446
_cell_length_b 6.9446
_cell_length_c 12.9989
_cell_angle_alpha 95.48
_cell_angle_beta 95.48
_cell_angle_gamma 123.09
loop_
_space_group_symop_operation_xyz
'x,y,z'
loop_
_atom_site_label
_atom_site_fract_x
_atom_site_fract_y
_atom_site_fract_z
_atom_site_occupancy
Th1 0.0000 0.0000 0.0000 1
Ag1 0.1668 0.8332 0.5000 1
Ag2 0.3381 0.6619 0.0000 1
Ag3 0.5000 0.5000 0.5000 1
Ag4 0.6619 0.3381 0.0000 1
Ag5 0.8332 0.1668 0.5000 1
Cl1 0.0554 0.3752 0.1198 1
Cl2 0.1532 0.1532 0.3910 1
Cl3 0.1800 0.5135 0.6090 1
Cl4 0.2723 0.2723 0.8714 1
Cl5 0.3752 0.0554 0.1198 1
Cl6 0.4865 0.8200 0.3910 1
Cl7 0.5135 0.1800 0.6090 1
Cl8 0.6248 0.9446 0.8802 1
Cl9 0.7277 0.7277 0.1286 1
Cl10 0.8200 0.4865 0.3910 1
Cl11 0.8468 0.8468 0.6090 1
Cl12 0.9446 0.6248 0.8802 1
```

The 12 most intense peaks (2θ from 15° to 90°), in order of rising 2θ:
26.0 deg, I = 68
27.5 deg, I = 94
28.3 deg, I = 31
30.8 deg, I = 33
31.6 deg, I = 84
33.4 deg, I = 36
35.3 deg, I = 100
41.8 deg, I = 51
43.7 deg, I = 28
44.5 deg, I = 29
46.5 deg, I = 26
46.9 deg, I = 73

---

Diffraction record for LaSm12Ho6. The PXRD pattern is calculated, not measured: it uses a structure optimized by DFT (GGA-PBE) and Cu Kα, 1.54184 Å.

Structure:
```
data_LaSm12Ho6
_chemical_formula_sum 'La1 Sm12 Ho6'
_space_group_name_H-M_alt 'P 1'
_space_group_IT_number 1
_cell_length_a 8.8040
_cell_length_b 8.8040
_cell_length_c 8.8040
_cell_angle_alpha 99.04
_cell_angle_beta 99.04
_cell_angle_gamma 99.04
loop_
_space_group_symop_operation_xyz
'x,y,z'
loop_
_atom_site_label
_atom_site_fract_x
_atom_site_fract_y
_atom_site_fract_z
_atom_site_occupancy
La1 0.0000 0.0000 0.0000 1
Sm1 0.0813 0.3547 0.3547 1
Sm2 0.2410 0.5000 0.7590 1
Sm3 0.2410 0.7590 0.5000 1
Sm4 0.3547 0.0813 0.3547 1
Sm5 0.3547 0.3547 0.0813 1
Sm6 0.5000 0.2410 0.7590 1
Sm7 0.5000 0.7590 0.2410 1
Sm8 0.6453 0.6453 0.9187 1
Sm9 0.6453 0.9187 0.6453 1
Sm10 0.7590 0.2410 0.5000 1
Sm11 0.7590 0.5000 0.2410 1
Sm12 0.9187 0.6453 0.6453 1
Ho1 0.1013 0.1013 0.6600 1
Ho2 0.1013 0.6600 0.1013 1
Ho3 0.3400 0.8987 0.8987 1
Ho4 0.6600 0.1013 0.1013 1
Ho5 0.8987 0.3400 0.8987 1
Ho6 0.8987 0.8987 0.3400 1
```

The 12 most intense peaks (2θ from 15° to 90°), in order of rising 2θ:
28.6 deg, I = 26
29.3 deg, I = 49
31.2 deg, I = 55
31.4 deg, I = 68
31.7 deg, I = 100
32.3 deg, I = 20
34.0 deg, I = 35
34.2 deg, I = 32
34.4 deg, I = 30
49.3 deg, I = 21
54.8 deg, I = 24
56.4 deg, I = 27